# 1
The following is a computed X-ray powder pattern of Sr2CoC2O2. It was derived from DFT lattice parameters and positions (PBE+U), using Cu Kα.
Kinematic intensities with the Lorentz-polarization factor, no thermal factor.

Lattice parameters (Å, degrees): 3.8966 3.8966 7.0821 90.00 90.00 90.00
Space group P4/mmm (No. 123)
Inequivalent atoms, fractional coordinates:
Sr 0.0000 0.0000 0.2337
Co 0.5000 0.5000 0.0000
C 0.5000 0.5000 0.4108
O 0.0000 0.5000 0.0000

Principal peaks in the range 2θ = 15–90°, sorted by position:
| 2theta | intensity |
| --- | --- |
| 22.82 | 19 |
| 32.50 | 50 |
| 34.22 | 100 |
| 41.53 | 17 |
| 44.89 | 11 |
| 46.62 | 28 |
| 59.08 | 39 |
| 62.34 | 10 |
| 68.06 | 8 |
| 72.08 | 10 |



# 2
The following is a computed X-ray powder pattern of DyCrC6N6O4. It was derived from DFT lattice parameters and positions (PBE+U), using Cu Kα.
Kinematic intensities with the Lorentz-polarization factor, no thermal factor.

Lattice parameters (Å, degrees): 7.7105 13.3747 13.5956 90.00 90.00 90.00
Space group Cmcm (No. 63)
Inequivalent atoms, fractional coordinates:
Dy 0.0000 0.1645 0.2500
Cr 0.0000 0.5000 0.0000
C 0.0000 0.3631 0.0747
C 0.1928 0.4475 0.5938
N 0.0000 0.2914 0.1244
N 0.1998 0.0865 0.1448
O 0.0000 0.1773 0.6750
O 0.1319 0.2044 0.7500

Principal peaks in the range 2θ = 15–90°, sorted by position:
| 2theta | intensity |
| --- | --- |
| 18.62 | 100 |
| 23.05 | 51 |
| 26.56 | 26 |
| 29.80 | 18 |
| 33.32 | 29 |
| 35.19 | 36 |
| 36.17 | 23 |
| 38.00 | 19 |
| 48.87 | 20 |
| 49.24 | 15 |



# 3
The following is a computed X-ray powder pattern of CrH12C8F8. It was derived from DFT lattice parameters and positions (PBE+U), using Cu Kα.
Kinematic intensities with the Lorentz-polarization factor, no thermal factor.

Lattice parameters (Å, degrees): 10.0198 10.0198 10.0198 90.00 90.00 90.00
Space group Fm-3m (No. 225)
Inequivalent atoms, fractional coordinates:
Cr 0.0000 0.0000 0.0000
H 0.0000 0.1316 0.1316
C 0.0000 0.0000 0.1988
C 0.2500 0.2500 0.2500
F 0.1727 0.1727 0.3273

Principal peaks in the range 2θ = 15–90°, sorted by position:
| 2theta | intensity |
| --- | --- |
| 15.32 | 91 |
| 25.14 | 100 |
| 29.57 | 65 |
| 40.25 | 20 |
| 47.13 | 32 |
| 51.60 | 12 |
| 54.15 | 35 |
| 54.99 | 20 |
| 70.31 | 12 |
| 72.45 | 13 |



# 4
The following is a computed X-ray powder pattern of CrHC7NO5F2. It was derived from DFT lattice parameters and positions (PBE+U), using Cu Kα.
Kinematic intensities with the Lorentz-polarization factor, no thermal factor.

Lattice parameters (Å, degrees): 7.0027 8.7626 10.1379 92.86 109.72 99.15
Space group P-1 (No. 2)
Inequivalent atoms, fractional coordinates:
Cr 0.1085 0.1788 0.2782
H 0.4149 0.3046 0.8260
C 0.0384 0.0374 0.7615
C 0.0722 0.7737 0.8972
C 0.0740 0.7627 0.6316
C 0.2519 0.3876 0.3088
C 0.2578 0.3142 0.8204
C 0.2899 0.1422 0.4578
C 0.2971 0.1272 0.1915
N 0.1246 0.1692 0.7875
O 0.1811 0.7417 0.0024
O 0.1830 0.7270 0.5764
O 0.3417 0.5139 0.3234
O 0.3984 0.1232 0.5684
O 0.4142 0.1002 0.1395
F 0.1805 0.4104 0.7202
F 0.2665 0.3830 0.9482

Principal peaks in the range 2θ = 15–90°, sorted by position:
| 2theta | intensity |
| --- | --- |
| 15.51 | 75 |
| 17.98 | 26 |
| 18.68 | 52 |
| 18.93 | 37 |
| 20.66 | 23 |
| 26.95 | 25 |
| 27.12 | 74 |
| 28.19 | 100 |
| 31.24 | 23 |
| 35.64 | 27 |



# 5
The following is a computed X-ray powder pattern of LiCrCO3F2. It was derived from DFT lattice parameters and positions (PBE+U), using Cu Kα.
Kinematic intensities with the Lorentz-polarization factor, no thermal factor.

Lattice parameters (Å, degrees): 5.5188 6.6051 9.4837 90.00 90.00 90.00
Space group Pnma (No. 62)
Inequivalent atoms, fractional coordinates:
Li 0.2165 0.2500 0.2408
Cr 0.0335 0.2500 0.6254
C 0.0259 0.7500 0.0573
O 0.1193 0.7500 0.1863
O 0.1944 0.7500 0.9635
O 0.1980 0.2500 0.9690
F 0.0446 0.5404 0.6615

Principal peaks in the range 2θ = 15–90°, sorted by position:
| 2theta | intensity |
| --- | --- |
| 16.35 | 100 |
| 18.60 | 33 |
| 27.00 | 56 |
| 28.25 | 21 |
| 31.37 | 19 |
| 32.45 | 18 |
| 32.64 | 54 |
| 36.54 | 18 |
| 42.13 | 22 |
| 48.48 | 20 |



# 6
The following is a computed X-ray powder pattern of Li6CrFeP2C2O14. It was derived from DFT lattice parameters and positions (PBE+U), using Cu Kα.
Kinematic intensities with the Lorentz-polarization factor, no thermal factor.

Lattice parameters (Å, degrees): 5.0273 6.4552 8.6555 90.00 96.17 90.00
Space group Pm (No. 6)
Inequivalent atoms, fractional coordinates:
Li 0.0000 0.0000 0.0000
Li 0.0713 0.2683 0.6241
Li 0.5195 0.2286 0.1663
Li 0.5878 0.5000 0.7834
Cr 0.9953 0.5000 0.2273
Fe 0.5899 0.0000 0.5623
P 0.0670 0.0000 0.3065
P 0.5315 0.5000 0.4856
C 0.1128 0.5000 0.9304
C 0.4718 0.0000 0.8561
O 0.2010 0.5000 0.7947
O 0.2221 0.5000 0.4766
O 0.2822 0.5000 0.0578
O 0.2916 0.0000 0.7346
O 0.3798 0.0000 0.3221
O 0.3988 0.0000 0.9959
O 0.6198 0.5000 0.3200
O 0.6477 0.3122 0.5852
O 0.7205 0.0000 0.8315
O 0.8615 0.5000 0.9455
O 0.9553 0.1863 0.2037
O 0.9735 0.0000 0.4696

Principal peaks in the range 2θ = 15–90°, sorted by position:
| 2theta | intensity |
| --- | --- |
| 17.17 | 20 |
| 19.56 | 32 |
| 21.50 | 60 |
| 25.59 | 24 |
| 25.83 | 33 |
| 27.64 | 100 |
| 31.18 | 20 |
| 36.34 | 35 |
| 40.39 | 33 |
| 57.06 | 18 |



# 7
The following is a computed X-ray powder pattern of Li12CrFe3P4C4O28. It was derived from DFT lattice parameters and positions (PBE+U), using Cu Kα.
Kinematic intensities with the Lorentz-polarization factor, no thermal factor.

Lattice parameters (Å, degrees): 8.5551 6.5024 9.9813 90.00 94.73 90.00
Space group Pm (No. 6)
Inequivalent atoms, fractional coordinates:
Li 0.0000 0.0000 0.0000
Li 0.0009 0.0000 0.4995
Li 0.1814 0.2259 0.2569
Li 0.1816 0.2259 0.7552
Li 0.6330 0.2751 0.0033
Li 0.6327 0.2745 0.5030
Li 0.8123 0.5000 0.7593
Li 0.8135 0.5000 0.2601
Cr 0.2421 0.5000 0.9874
Fe 0.2424 0.5000 0.4861
Fe 0.5723 0.0000 0.7726
Fe 0.5726 0.0000 0.2731
P 0.3192 0.0000 0.5207
P 0.3198 0.0000 0.0209
P 0.4948 0.5000 0.7386
P 0.4970 0.5000 0.2394
C 0.8729 0.0000 0.2313
C 0.8729 0.0000 0.7316
C 0.9395 0.5000 0.0266
C 0.9428 0.5000 0.5280
O 0.0178 0.0000 0.2016
O 0.0178 0.0000 0.7017
O 0.0539 0.5000 0.1217
O 0.0552 0.5000 0.6242
O 0.2178 0.1867 0.4672
O 0.2186 0.1862 0.9676
O 0.3293 0.5000 0.7882
O 0.3299 0.5000 0.2876
O 0.3348 0.0000 0.6777
O 0.3355 0.0000 0.1781
O 0.4801 0.5000 0.5816
O 0.4852 0.0000 0.4706
O 0.4857 0.0000 0.9704
O 0.4862 0.5000 0.0834
O 0.5963 0.3134 0.7924
O 0.5974 0.3129 0.2945
O 0.7599 0.0000 0.1347
O 0.7599 0.0000 0.6349
O 0.7949 0.5000 0.0597
O 0.7970 0.5000 0.5581
O 0.8365 0.0000 0.3549
O 0.8363 0.0000 0.8550
O 0.9714 0.5000 0.9027
O 0.9783 0.5000 0.4044

Principal peaks in the range 2θ = 15–90°, sorted by position:
| 2theta | intensity |
| --- | --- |
| 17.15 | 20 |
| 19.91 | 37 |
| 21.41 | 47 |
| 25.46 | 22 |
| 26.39 | 34 |
| 27.43 | 100 |
| 31.48 | 17 |
| 36.12 | 19 |
| 36.80 | 26 |
| 40.29 | 22 |



Copy entry 7 word for word.
The following is a computed X-ray powder pattern of Li12CrFe3P4C4O28. It was derived from DFT lattice parameters and positions (PBE+U), using Cu Kα.
Kinematic intensities with the Lorentz-polarization factor, no thermal factor.

Lattice parameters (Å, degrees): 8.5551 6.5024 9.9813 90.00 94.73 90.00
Space group Pm (No. 6)
Inequivalent atoms, fractional coordinates:
Li 0.0000 0.0000 0.0000
Li 0.0009 0.0000 0.4995
Li 0.1814 0.2259 0.2569
Li 0.1816 0.2259 0.7552
Li 0.6330 0.2751 0.0033
Li 0.6327 0.2745 0.5030
Li 0.8123 0.5000 0.7593
Li 0.8135 0.5000 0.2601
Cr 0.2421 0.5000 0.9874
Fe 0.2424 0.5000 0.4861
Fe 0.5723 0.0000 0.7726
Fe 0.5726 0.0000 0.2731
P 0.3192 0.0000 0.5207
P 0.3198 0.0000 0.0209
P 0.4948 0.5000 0.7386
P 0.4970 0.5000 0.2394
C 0.8729 0.0000 0.2313
C 0.8729 0.0000 0.7316
C 0.9395 0.5000 0.0266
C 0.9428 0.5000 0.5280
O 0.0178 0.0000 0.2016
O 0.0178 0.0000 0.7017
O 0.0539 0.5000 0.1217
O 0.0552 0.5000 0.6242
O 0.2178 0.1867 0.4672
O 0.2186 0.1862 0.9676
O 0.3293 0.5000 0.7882
O 0.3299 0.5000 0.2876
O 0.3348 0.0000 0.6777
O 0.3355 0.0000 0.1781
O 0.4801 0.5000 0.5816
O 0.4852 0.0000 0.4706
O 0.4857 0.0000 0.9704
O 0.4862 0.5000 0.0834
O 0.5963 0.3134 0.7924
O 0.5974 0.3129 0.2945
O 0.7599 0.0000 0.1347
O 0.7599 0.0000 0.6349
O 0.7949 0.5000 0.0597
O 0.7970 0.5000 0.5581
O 0.8365 0.0000 0.3549
O 0.8363 0.0000 0.8550
O 0.9714 0.5000 0.9027
O 0.9783 0.5000 0.4044

Principal peaks in the range 2θ = 15–90°, sorted by position:
| 2theta | intensity |
| --- | --- |
| 17.15 | 20 |
| 19.91 | 37 |
| 21.41 | 47 |
| 25.46 | 22 |
| 26.39 | 34 |
| 27.43 | 100 |
| 31.48 | 17 |
| 36.12 | 19 |
| 36.80 | 26 |
| 40.29 | 22 |